Record 1
The following is a theoretical powder diffraction line list of Pm4YS5. It was derived from a cell relaxed with PBE, using copper Kα.
Kinematic intensities with the Lorentz-polarization factor, no thermal factor.

The 12 most intense peaks (2θ from 10° to 90°), in order of falling intensity:
| 2θ/deg | I (rel.) |
| --- | --- |
| 31.54 | 100 |
| 27.23 | 70 |
| 45.20 | 60 |
| 53.58 | 34 |
| 74.89 | 16 |
| 74.82 | 16 |
| 56.22 | 12 |
| 56.12 | 12 |
| 83.55 | 12 |
| 45.26 | 12 |
| 83.41 | 12 |
| 65.86 | 11 |

abc: 10.625 10.625 10.625
angles: 158.26 149.05 38.14
Fractional positions:
Pm  0.100  0.100  0.000
Pm  0.301  0.301  0.000
Pm  0.699  0.699  0.000
Pm  0.900  0.900  0.000
Y  0.500  0.500  0.000
S  0.000  0.500  0.500
S  0.201  0.701  0.500
S  0.404  0.904  0.500
S  0.596  0.096  0.500
S  0.799  0.299  0.500

Record 2
The following is a theoretical powder diffraction line list of PmY4S4. It was derived from a cell relaxed with PBE, using copper Kα.
Kinematic intensities with the Lorentz-polarization factor, no thermal factor.

The 12 most intense peaks (2θ from 10° to 90°), in order of falling intensity:
| 2θ/deg | I (rel.) |
| --- | --- |
| 27.92 | 100 |
| 32.27 | 98 |
| 46.46 | 68 |
| 32.51 | 48 |
| 57.70 | 34 |
| 46.28 | 34 |
| 54.92 | 31 |
| 85.93 | 22 |
| 19.03 | 16 |
| 55.24 | 15 |
| 77.37 | 15 |
| 76.83 | 14 |

abc: 6.787 6.787 6.787
angles: 99.48 99.48 132.12
Fractional positions:
Pm  0.000  0.000  0.000
Y  0.196  0.606  0.802
Y  0.394  0.196  0.590
Y  0.606  0.804  0.410
Y  0.804  0.394  0.198
S  0.100  0.306  0.406
S  0.306  0.900  0.205
S  0.694  0.100  0.795
S  0.900  0.694  0.594